Rb3Pu4O12: computed powder X-ray diffraction pattern (λ = 1.5418 Å (Cu Kα)), based on a crystal structure in Alexandria, relaxed with GGA-PBE.
Peak positions follow from Bragg's law for the DFT cell and can differ from measured ones.

Structure:
```
19
Lattice="-4.2711 4.2711 4.2711 4.2711 -4.2711 4.2711 4.2711 4.2711 -4.2711" Properties=species:S:1:pos:R:3 pbc="T T T"
Rb 4.2711 0.0000 0.0000
Rb 0.0000 4.2711 0.0000
Rb 0.0000 0.0000 4.2711
Pu 2.1356 2.1356 -2.1356
Pu 2.1356 -2.1356 2.1356
Pu -2.1356 2.1356 2.1356
Pu 2.1356 2.1356 2.1356
O 4.2711 2.1080 -2.1080
O 4.2711 -2.1080 2.1080
O 2.1080 4.2711 -2.1080
O 2.1631 2.1631 0.0000
O 2.1631 0.0000 2.1631
O 2.1080 -2.1080 4.2711
O 4.2711 2.1080 2.1080
O 0.0000 2.1631 2.1631
O -2.1080 4.2711 2.1080
O -2.1080 2.1080 4.2711
O 2.1080 4.2711 2.1080
O 2.1080 2.1080 4.2711
```

The 10 most intense peaks (2θ = 10–90°), in order of rising 2θ:
| 2theta | d_spacing | intensity |
| --- | --- | --- |
| 20.80 | 4.271 | 51 |
| 29.58 | 3.020 | 100 |
| 36.44 | 2.466 | 7 |
| 42.32 | 2.136 | 29 |
| 47.61 | 1.910 | 24 |
| 52.48 | 1.744 | 42 |
| 61.40 | 1.510 | 19 |
| 65.57 | 1.424 | 12 |
| 69.61 | 1.351 | 19 |
| 84.96 | 1.142 | 23 |